[1]
Diffraction record for BaPdO5. The X-ray powder pattern is computed, not measured: it uses the PBE geometry in Alexandria and CuKα.

a = 4.8991 Å, b = 5.5700 Å, c = 7.1712 Å
α = 90.00°, β = 92.57°, γ = 90.00°
Atoms (fractional coordinates):
Ba: 0.0000 0.1365 0.2500
Ba: 0.0000 0.8635 0.7500
Pd: 0.5000 0.5000 0.0000
Pd: 0.5000 0.5000 0.5000
O: 0.0890 0.4256 0.9453
O: 0.0890 0.5744 0.4453
O: 0.4240 0.2008 0.6655
O: 0.4240 0.7992 0.1655
O: 0.5000 0.3165 0.2500
O: 0.5000 0.6835 0.7500
O: 0.5760 0.2008 0.8345
O: 0.5760 0.7992 0.3345
O: 0.9110 0.4256 0.5547
O: 0.9110 0.5744 0.0547

Principal peaks in the range 10 to 90 degrees two-theta, most intense first:
2θ/deg	I/Imax
29.7	100
24.2	97
36.7	50
41.1	38
20.2	35
30.3	34
39.0	33
31.6	32
26.9	30
27.6	28
48.8	23
46.9	22


[2]
Diffraction record for Ba5PdO6. The X-ray powder pattern is computed, not measured: it uses the PBE geometry in Alexandria and CuKα.

a = 6.7559 Å, b = 6.7559 Å, c = 6.6198 Å
α = 98.23°, β = 98.23°, γ = 121.22°
Atoms (fractional coordinates):
Ba: 0.0000 0.0000 0.0000
Ba: 0.1725 0.8275 0.5000
Ba: 0.3408 0.6592 0.0000
Ba: 0.6592 0.3408 0.0000
Ba: 0.8275 0.1725 0.5000
Pd: 0.5000 0.5000 0.5000
O: 0.0538 0.3995 0.2264
O: 0.2892 0.2892 0.6918
O: 0.3995 0.0538 0.2264
O: 0.6005 0.9462 0.7736
O: 0.7108 0.7108 0.3082
O: 0.9462 0.6005 0.7736

Principal peaks in the range 10 to 90 degrees two-theta, most intense first:
2θ/deg	I/Imax
32.2	100
28.2	86
28.2	84
47.3	62
33.7	43
54.9	28
56.9	27
55.1	26
46.0	18
76.2	17
46.3	17
58.4	16